# MoCl4
Simulated XRD peak list, Cu Kα, 1.54184 Å. Input: a crystal structure in OQMD, relaxed with PBE.
Peak positions follow from Bragg's law for the DFT cell and can differ from measured ones.

Main lines, sorted by position (5° ≤ 2θ ≤ 70°):
- (0 0 2), d 6.369, rel. 87
- (0 2 1), d 5.353, rel. 100
- (0 2 3), d 3.446, rel. 22
- (2 2 1), d 2.812, rel. 29
- (0 2 4), d 2.802, rel. 18
- (2 2 2), d 2.627, rel. 44
- (2 2 3), d 2.386, rel. 12
- (0 4 4), d 2.164, rel. 28
- (2 4 2), d 2.080, rel. 28
- (2 0 6), d 1.786, rel. 24

```
data_MoCl4
_chemical_formula_sum 'Mo8 Cl32'
_cell_length_a 6.6110
_cell_length_b 11.7975
_cell_length_c 12.7385
_cell_angle_alpha 90.00
_cell_angle_beta 90.00
_cell_angle_gamma 90.00
_space_group_name_H-M_alt 'C m c 21'
_space_group_IT_number 36
loop_
_space_group_symop_operation_xyz
'x,y,z'
'-x,-y,z+1/2'
'-x,y,z'
'x,-y,z+1/2'
'x+1/2,y+1/2,z'
'-x+1/2,-y+1/2,z+1/2'
'-x+1/2,y+1/2,z'
'x+1/2,-y+1/2,z+1/2'
loop_
_atom_site_label
_atom_site_type_symbol
_atom_site_fract_x
_atom_site_fract_y
_atom_site_fract_z
Mo1 Mo 0.2130 0.1238 0.0000
Cl1 Cl 0.0000 0.0085 0.5858
Cl2 Cl 0.0000 0.2560 0.9139
Cl3 Cl 0.0000 0.2629 0.4265
Cl4 Cl 0.0000 0.4895 0.5736
Cl5 Cl 0.2414 0.0134 0.8514
Cl6 Cl 0.2406 0.2343 0.1484
```